The following is a simulated XRD peak list of CdSnHg4. It was derived from a crystal structure in Alexandria, relaxed with PBE, using a wavelength of 1.5418 Å.
Kinematic intensities with the Lorentz-polarization factor, no thermal factor.

Principal peaks in the range 2θ = 15–90°, sorted by position:
d [Å]	2θ (°)	intensity
2.869	31.17	1000
2.745	32.62	388
2.496	35.97	722
2.210	40.84	254
2.102	43.04	243
1.886	48.25	133
1.721	53.21	198
1.695	54.09	148
1.523	60.83	176
1.377	68.08	214

Unit cell a=4.419 b=6.280 c=11.316 alpha=90.00 beta=90.00 gamma=90.00
Element x y z (fractional)
Cd  0.250  0.250  0.101
Cd  0.750  0.750  0.899
Sn  0.250  0.250  0.391
Sn  0.750  0.750  0.609
Hg  0.250  0.010  0.754
Hg  0.250  0.490  0.754
Hg  0.250  0.750  0.079
Hg  0.250  0.750  0.419
Hg  0.750  0.250  0.581
Hg  0.750  0.250  0.921
Hg  0.750  0.510  0.246
Hg  0.750  0.990  0.246


The following is a simulated XRD peak list of La6PrHg2. It was derived from a crystal structure in Alexandria, relaxed with PBE, using a wavelength of 1.5418 Å.
Kinematic intensities with the Lorentz-polarization factor, no thermal factor.

Principal peaks in the range 2θ = 15–90°, sorted by position:
d [Å]	2θ (°)	intensity
5.160	17.19	111
3.131	28.51	141
3.104	28.76	1000
2.676	33.48	248
2.580	34.78	578
2.563	35.00	172
1.824	50.00	207
1.818	50.17	126
1.743	52.52	147
1.573	58.71	266

Unit cell a=5.160 b=5.160 c=11.815 alpha=90.00 beta=90.00 gamma=90.00
Element x y z (fractional)
La  0.000  0.000  0.000
La  0.000  0.500  0.226
La  0.000  0.500  0.774
La  0.500  0.000  0.226
La  0.500  0.000  0.774
La  0.500  0.500  0.000
Pr  0.000  0.000  0.500
Hg  0.500  0.500  0.385
Hg  0.500  0.500  0.615


The following is a simulated XRD peak list of KUI6. It was derived from a crystal structure in Alexandria, relaxed with PBE, using a wavelength of 1.5418 Å.
Kinematic intensities with the Lorentz-polarization factor, no thermal factor.

Principal peaks in the range 2θ = 15–90°, sorted by position:
d [Å]	2θ (°)	intensity
5.854	15.13	277
4.954	17.91	187
4.124	21.55	184
3.656	24.35	202
3.268	27.29	1000
2.537	35.38	170
2.525	35.55	201
2.322	38.77	190
2.309	39.02	149
2.238	40.29	197

Unit cell a=7.881 b=7.881 c=7.793 alpha=98.93 beta=98.93 gamma=114.29
Element x y z (fractional)
K  0.000  0.000  0.000
U  0.500  0.500  0.500
I  0.166  0.483  0.256
I  0.244  0.244  0.680
I  0.483  0.166  0.256
I  0.517  0.834  0.744
I  0.756  0.756  0.320
I  0.834  0.517  0.744


The following is a simulated XRD peak list of Sc3Ni6Ge2. It was derived from a crystal structure in Alexandria, relaxed with PBE, using a wavelength of 1.5418 Å.
Kinematic intensities with the Lorentz-polarization factor, no thermal factor.

Principal peaks in the range 2θ = 15–90°, sorted by position:
d [Å]	2θ (°)	intensity
4.289	20.71	88
2.477	36.27	195
2.293	39.30	307
2.145	42.13	117
2.022	44.82	1000
1.918	47.39	309
1.751	52.24	177
1.392	67.28	97
1.293	73.18	171
1.167	82.65	215

Unit cell a=7.430 b=7.430 c=7.430 alpha=109.47 beta=109.47 gamma=109.47
Element x y z (fractional)
Sc  0.000  0.282  0.282
Sc  0.000  0.718  0.718
Sc  0.282  0.000  0.282
Sc  0.282  0.282  0.000
Sc  0.718  0.000  0.718
Sc  0.718  0.718  0.000
Ni  0.000  0.341  0.659
Ni  0.000  0.659  0.341
Ni  0.318  0.659  0.659
Ni  0.341  0.000  0.659
Ni  0.341  0.341  0.682
Ni  0.341  0.659  0.000
Ni  0.341  0.682  0.341
Ni  0.659  0.000  0.341
Ni  0.659  0.318  0.659
Ni  0.659  0.341  0.000
Ni  0.659  0.659  0.318
Ni  0.682  0.341  0.341
Ge  0.000  0.000  0.500
Ge  0.000  0.500  0.000
Ge  0.500  0.000  0.000
Ge  0.500  0.500  0.500


The following is a simulated XRD peak list of NaSrPu4N8. It was derived from a crystal structure in Alexandria, relaxed with PBE, using a wavelength of 1.5418 Å.
Kinematic intensities with the Lorentz-polarization factor, no thermal factor.

Principal peaks in the range 2θ = 15–90°, sorted by position:
d [Å]	2θ (°)	intensity
5.458	16.24	553
4.819	18.41	217
3.375	26.41	481
2.933	30.48	1000
2.911	30.71	491
2.870	31.16	327
2.801	31.95	493
1.840	49.53	237
1.721	53.23	331
1.687	54.37	274

Unit cell a=6.752 b=6.752 c=6.752 alpha=61.30 beta=61.30 gamma=61.30
Element x y z (fractional)
Na  0.000  0.000  0.000
Sr  0.618  0.618  0.618
Pu  0.386  0.386  0.386
Pu  0.502  0.998  0.998
Pu  0.998  0.502  0.998
Pu  0.998  0.998  0.502
N  0.177  0.751  0.751
N  0.239  0.239  0.239
N  0.256  0.256  0.788
N  0.256  0.788  0.256
N  0.751  0.177  0.751
N  0.751  0.751  0.177
N  0.770  0.770  0.770
N  0.788  0.256  0.256


The following is a simulated XRD peak list of Ac5Pr2Sm3. It was derived from a crystal structure in Alexandria, relaxed with PBE, using a wavelength of 1.5418 Å.
Kinematic intensities with the Lorentz-polarization factor, no thermal factor.

Principal peaks in the range 2θ = 15–90°, sorted by position:
d [Å]	2θ (°)	intensity
3.245	27.49	1000
3.015	29.63	901
2.942	30.38	464
2.804	31.92	202
2.330	38.64	176
2.071	43.70	179
1.943	46.76	182
1.751	52.23	175
1.712	53.51	165
1.575	58.62	183

Unit cell a=10.792 b=10.792 c=9.621 alpha=109.45 beta=109.45 gamma=113.91
Element x y z (fractional)
Ac  0.019  0.981  0.750
Ac  0.111  0.389  0.750
Ac  0.216  0.784  0.750
Ac  0.389  0.111  0.250
Ac  0.474  0.526  0.250
Ac  0.526  0.474  0.750
Ac  0.611  0.889  0.750
Ac  0.784  0.216  0.250
Ac  0.889  0.611  0.250
Ac  0.981  0.019  0.250
Pr  0.014  0.288  0.046
Pr  0.288  0.014  0.546
Pr  0.712  0.986  0.454
Pr  0.986  0.712  0.954
Sm  0.227  0.489  0.459
Sm  0.283  0.717  0.250
Sm  0.489  0.227  0.959
Sm  0.511  0.773  0.041
Sm  0.717  0.283  0.750
Sm  0.773  0.511  0.541


The following is a simulated XRD peak list of PrNd6Sm2Dy. It was derived from a crystal structure in Alexandria, relaxed with PBE, using a wavelength of 1.5418 Å.
Kinematic intensities with the Lorentz-polarization factor, no thermal factor.

Principal peaks in the range 2θ = 15–90°, sorted by position:
d [Å]	2θ (°)	intensity
3.269	27.29	179
3.197	27.91	388
2.996	29.82	1000
2.924	30.58	443
2.905	30.77	993
2.835	31.55	197
2.723	32.90	448
2.673	33.52	148
1.671	54.93	130
1.605	57.41	133

Unit cell a=9.003 b=9.003 c=9.854 alpha=94.11 beta=94.11 gamma=117.77
Element x y z (fractional)
Pr  0.022  0.978  0.750
Pr  0.978  0.022  0.250
Nd  0.013  0.568  0.687
Nd  0.118  0.751  0.055
Nd  0.249  0.882  0.445
Nd  0.295  0.507  0.881
Nd  0.432  0.987  0.813
Nd  0.493  0.705  0.619
Nd  0.507  0.295  0.381
Nd  0.568  0.013  0.187
Nd  0.705  0.493  0.119
Nd  0.751  0.118  0.555
Nd  0.882  0.249  0.945
Nd  0.987  0.432  0.313
Sm  0.199  0.298  0.545
Sm  0.298  0.199  0.045
Sm  0.702  0.801  0.955
Sm  0.801  0.702  0.455
Dy  0.409  0.591  0.250
Dy  0.591  0.409  0.750


The following is a simulated XRD peak list of Tb5Sc3. It was derived from a crystal structure in Alexandria, relaxed with PBE, using a wavelength of 1.5418 Å.
Kinematic intensities with the Lorentz-polarization factor, no thermal factor.

Principal peaks in the range 2θ = 15–90°, sorted by position:
d [Å]	2θ (°)	intensity
4.806	18.46	122
3.473	25.65	113
2.815	31.79	1000
2.456	36.59	341
2.403	37.43	161
1.737	52.71	118
1.718	53.34	228
1.478	62.88	275
1.455	64.01	132
1.408	66.42	116

Unit cell a=4.806 b=4.911 c=9.827 alpha=90.00 beta=90.00 gamma=90.00
Element x y z (fractional)
Tb  0.000  0.000  0.000
Tb  0.000  0.000  0.500
Tb  0.000  0.500  0.245
Tb  0.000  0.500  0.755
Tb  0.500  0.500  0.500
Sc  0.500  0.000  0.245
Sc  0.500  0.000  0.755
Sc  0.500  0.500  0.000